Structure and theoretical PXRD pattern of NiSeO3 (a GGA+U-relaxed structure; Cu Kα).
Lines closer than 0.1° are merged.

The 10 most intense peaks (2θ = 10–90°), by angle:
index  2θ (°)  d [Å]  I_rel
0 1 1  18.88  4.700  387
0 0 2  20.77  4.277  247
1 1 2  30.37  2.943  1000
2 0 0  30.53  2.928  237
2 0 1  32.32  2.770  155
1 2 1  36.98  2.431  442
2 1 3  47.35  1.920  176
1 1 4  48.09  1.892  183
3 2 1  58.56  1.576  135
1 2 5  65.86  1.418  142

Cell and atoms:
```
20
Lattice="5.8562 0.0000 0.0000 0.0000 5.6258 0.0000 0.0000 0.0000 8.5532" Properties=species:S:1:pos:R:3 pbc="T T T"
Ni 0.0895 0.6367 0.0000
Ni 2.8386 3.4495 4.2766
Ni 3.0176 2.1762 0.0000
Ni 5.7667 4.9891 4.2766
Se 0.2251 3.2490 1.6311
Se 2.7030 0.4361 5.9077
Se 3.1532 5.1896 1.6311
Se 5.6311 2.3768 5.9077
O 0.6927 4.4439 0.4951
O 1.0701 3.7854 3.0892
O 1.2705 1.9405 1.1040
O 1.6576 4.7534 5.3806
O 1.8580 0.9725 7.3658
O 2.2354 1.6310 4.7717
O 3.6209 3.9948 0.4951
O 3.9982 4.6532 3.0892
O 4.1986 0.8724 1.1040
O 4.5857 3.6853 5.3806
O 4.7861 1.8404 7.3658
O 5.1635 1.1819 4.7717
```